No. 1
Theoretical powder XRD pattern
Compound: Ac2MgCoO6
Radiation: CuKα
Structure: DFT lattice parameters and positions (PBE+U)
Neutral-atom scattering factors, no anomalous dispersion.

Main lines, by angle (10° ≤ 2θ ≤ 90°):
Position (°2θ)	d_spacing	Rel. int.
22.35	3.977	24
22.70	3.917	47
32.07	2.791	100
32.32	2.770	49
39.65	2.273	47
45.62	1.989	15
46.36	1.958	28
51.54	1.773	12
52.05	1.757	12
57.01	1.615	20
57.49	1.603	40
67.07	1.395	18

Structural model:
Unit cell a=5.5823 b=5.5823 c=5.5823 alpha=120.51 beta=120.51 gamma=89.12
Positions (direct):
Ac 0.2500 0.7500 0.5000
Ac 0.7500 0.2500 0.5000
Mg 0.0000 0.0000 0.0000
Co 0.5000 0.5000 0.0000
O 0.2573 0.2573 0.0000
O 0.2604 0.2604 0.5207
O 0.2604 0.7396 0.0000
O 0.7396 0.2604 0.0000
O 0.7396 0.7396 0.4793
O 0.7427 0.7427 0.0000

---

No. 2
Theoretical powder XRD pattern
Compound: AcCoMo2O8
Radiation: CuKα
Structure: DFT lattice parameters and positions (PBE+U)
Neutral-atom scattering factors, no anomalous dispersion.

Main lines, by angle (10° ≤ 2θ ≤ 90°):
Position (°2θ)	d_spacing	Rel. int.
13.40	6.608	33
17.33	5.117	57
21.97	4.046	96
30.25	2.954	100
32.25	2.776	88
33.22	2.697	35
44.80	2.023	72
49.08	1.856	24
53.74	1.706	20
55.02	1.669	48
62.92	1.477	18
64.64	1.442	24

Structural model:
Unit cell a=5.9084 b=5.9084 c=6.6084 alpha=90.00 beta=90.00 gamma=120.00
Positions (direct):
Ac 0.0000 0.0000 0.0000
Co 0.0000 0.0000 0.5000
Mo 0.3333 0.6667 0.2273
Mo 0.6667 0.3333 0.7727
O 0.1621 0.3243 0.3002
O 0.1621 0.8379 0.3002
O 0.3243 0.1621 0.6998
O 0.3333 0.6667 0.9579
O 0.6667 0.3333 0.0421
O 0.6757 0.8379 0.3002
O 0.8379 0.1621 0.6998
O 0.8379 0.6757 0.6998